1.
Simulated PXRD pattern of Tb4Ga3Si for Cu Kα (weighted mean of Kα1 and Kα2), from a DFT-relaxed cell (PBE, Alexandria).
Kinematic intensities with the Lorentz-polarization factor, no thermal factor.

Atomic structure:
a = 4.0054 Å, b = 4.3649 Å, c = 10.8646 Å
α = 90.00°, β = 90.00°, γ = 90.00°
Space group Pmm2 (No. 25)
Unique sites:
Tb1 0.0000 0.0000 0.0000
Tb2 0.0000 0.5000 0.4935
Tb3 0.5000 0.0000 0.7163
Tb4 0.5000 0.5000 0.2176
Ga1 0.0000 0.5000 0.7797
Ga2 0.5000 0.0000 0.4299
Ga3 0.5000 0.5000 0.9349
Si1 0.0000 0.0000 0.2815

Most intense lines, 10 to 90 degrees two-theta, low angle first:
- hkl 1 0 2, d 3.224, I = 33
- hkl 1 1 1, d 2.848, I = 100
- hkl 0 1 3, d 2.787, I = 45
- hkl 0 0 4, d 2.716, I = 27
- hkl 1 1 3, d 2.288, I = 45
- hkl 1 0 4, d 2.248, I = 15
- hkl 0 2 0, d 2.182, I = 25
- hkl 2 0 0, d 2.003, I = 19
- hkl 0 2 4, d 1.701, I = 14
- hkl 2 1 3, d 1.626, I = 18
- hkl 2 2 0, d 1.476, I = 14
- hkl 0 1 7, d 1.462, I = 14


2.
Simulated PXRD pattern of Tb2Y2Ga4Si for Cu Kα (weighted mean of Kα1 and Kα2), from a DFT-relaxed cell (PBE, Alexandria).
Kinematic intensities with the Lorentz-polarization factor, no thermal factor.

Atomic structure:
a = 6.9507 Å, b = 6.9507 Å, c = 8.7624 Å
α = 90.00°, β = 90.00°, γ = 90.00°
Space group I4/mmm (No. 139)
Unique sites:
Tb1 0.0000 0.0000 0.1944
Y1 0.0000 0.5000 0.2500
Ga1 0.2477 0.2477 0.5000
Si1 0.0000 0.0000 0.5000

Most intense lines, 10 to 90 degrees two-theta, low angle first:
- hkl 1 1 0, d 4.915, I = 12
- hkl 2 0 0, d 3.475, I = 11
- hkl 2 0 2, d 2.723, I = 100
- hkl 1 0 3, d 2.693, I = 19
- hkl 2 2 0, d 2.457, I = 53
- hkl 0 0 4, d 2.191, I = 9
- hkl 2 1 3, d 2.129, I = 18
- hkl 4 0 0, d 1.738, I = 18
- hkl 2 2 4, d 1.635, I = 14
- hkl 3 2 3, d 1.609, I = 9
- hkl 4 2 2, d 1.465, I = 29
- hkl 6 2 0, d 1.099, I = 8


3.
Simulated PXRD pattern of TmGa2SiTc2 for Cu Kα (weighted mean of Kα1 and Kα2), from a DFT-relaxed cell (PBE, Alexandria).
Kinematic intensities with the Lorentz-polarization factor, no thermal factor.

Atomic structure:
a = 4.4948 Å, b = 4.4948 Å, c = 5.4801 Å
α = 90.00°, β = 90.00°, γ = 90.00°
Space group P4/mmm (No. 123)
Unique sites:
Tm1 0.0000 0.0000 0.0000
Ga1 0.5000 0.5000 0.2331
Si1 0.0000 0.0000 0.5000
Tc1 0.0000 0.5000 0.5000

Most intense lines, 10 to 90 degrees two-theta, low angle first:
- hkl 1 0 1, d 3.475, I = 22
- hkl 1 1 0, d 3.178, I = 12
- hkl 1 1 1, d 2.749, I = 100
- hkl 0 0 2, d 2.740, I = 13
- hkl 1 0 2, d 2.340, I = 58
- hkl 2 0 0, d 2.247, I = 66
- hkl 2 0 2, d 1.738, I = 13
- hkl 2 1 2, d 1.621, I = 37
- hkl 2 2 0, d 1.589, I = 22
- hkl 1 1 3, d 1.584, I = 13
- hkl 3 1 1, d 1.376, I = 29
- hkl 2 0 4, d 1.170, I = 15


4.
Simulated PXRD pattern of GaSiTe4 for Cu Kα (weighted mean of Kα1 and Kα2), from a DFT-relaxed cell (PBE, Alexandria).
Kinematic intensities with the Lorentz-polarization factor, no thermal factor.

Atomic structure:
a = 6.0230 Å, b = 6.0230 Å, c = 10.8360 Å
α = 90.00°, β = 90.00°, γ = 90.00°
Space group I-4 (No. 82)
Unique sites:
Ga1 0.0000 0.0000 0.0000
Si1 0.0000 0.5000 0.2500
Te1 0.2279 0.2326 0.6247

Most intense lines, 10 to 90 degrees two-theta, low angle first:
- hkl 1 1 2, d 3.348, I = 100
- hkl 2 0 0, d 3.011, I = 22
- hkl 0 0 4, d 2.709, I = 9
- hkl 1 2 1, d 2.614, I = 9
- hkl 2 2 0, d 2.129, I = 18
- hkl 2 0 4, d 2.014, I = 32
- hkl 3 1 2, d 1.797, I = 29
- hkl 2 2 4, d 1.674, I = 7
- hkl 1 1 6, d 1.663, I = 13
- hkl 3 1 6, d 1.311, I = 10
- hkl 4 2 4, d 1.206, I = 10
- hkl 2 2 8, d 1.143, I = 7


5.
Simulated PXRD pattern of Tl2GaSiTe4 for Cu Kα (weighted mean of Kα1 and Kα2), from a DFT-relaxed cell (PBE, Alexandria).
Kinematic intensities with the Lorentz-polarization factor, no thermal factor.

Atomic structure:
a = 6.4754 Å, b = 14.3435 Å, c = 26.2438 Å
α = 90.00°, β = 90.00°, γ = 90.00°
Space group Fddd (No. 70, origin choice 2)
Unique sites:
Tl1 0.1250 0.1250 0.3280
Ga1 0.1250 0.1250 0.1250
Si1 0.1250 0.1250 0.6250
Te1 0.1134 0.2682 0.8207

Most intense lines, 10 to 90 degrees two-theta, low angle first:
- hkl 0 0 4, d 6.561, I = 49
- hkl 1 3 1, d 3.806, I = 23
- hkl 1 3 3, d 3.521, I = 72
- hkl 0 0 8, d 3.280, I = 30
- hkl 2 0 2, d 3.144, I = 53
- hkl 1 3 5, d 3.102, I = 100
- hkl 2 2 0, d 2.951, I = 17
- hkl 1 3 7, d 2.686, I = 43
- hkl 0 6 2, d 2.349, I = 31
- hkl 2 0 10, d 2.039, I = 37
- hkl 2 6 0, d 1.922, I = 36
- hkl 3 3 5, d 1.843, I = 28


6.
Simulated PXRD pattern of ThGaSi for Cu Kα (weighted mean of Kα1 and Kα2), from a DFT-relaxed cell (PBE, Alexandria).
Kinematic intensities with the Lorentz-polarization factor, no thermal factor.

Atomic structure:
a = 4.2064 Å, b = 4.2064 Å, c = 14.5886 Å
α = 90.00°, β = 90.00°, γ = 90.00°
Space group I-4m2 (No. 119)
Unique sites:
Th1 0.0000 0.0000 0.0000
Th2 0.0000 0.5000 0.2500
Ga1 0.0000 0.5000 0.6655
Si1 0.0000 0.0000 0.4184

Most intense lines, 10 to 90 degrees two-theta, low angle first:
- hkl 1 0 1, d 4.042, I = 33
- hkl 0 0 4, d 3.647, I = 20
- hkl 1 0 3, d 3.181, I = 48
- hkl 1 1 2, d 2.754, I = 100
- hkl 1 0 5, d 2.397, I = 45
- hkl 2 0 0, d 2.103, I = 33
- hkl 1 0 7, d 1.867, I = 30
- hkl 0 0 8, d 1.822, I = 15
- hkl 2 1 3, d 1.754, I = 18
- hkl 2 1 5, d 1.581, I = 25
- hkl 2 1 7, d 1.396, I = 18
- hkl 1 1 10, d 1.309, I = 31